This entry pairs a crystal structure of ThZn9Fe3 with its calculated powder diffraction line list. Radiation: Cu Kα (λ = 1.5418 Å). Structure: a cell relaxed with PBE.
Neutral-atom scattering factors, no anomalous dispersion.

```
ThZn9Fe3
1.0
2.514 -6.226 0.000
2.514 6.226 0.000
-2.416 0.000 6.333
Th Zn Fe
1 9 3
direct
0.000 0.000 0.000
0.025 0.672 0.658
0.271 0.501 0.773
0.328 0.975 0.342
0.499 0.729 0.227
0.500 0.500 0.500
0.501 0.271 0.773
0.672 0.025 0.658
0.729 0.499 0.227
0.975 0.328 0.342
0.000 0.000 0.500
0.000 0.500 0.000
0.500 0.000 0.000
```

Top 10 peaks for 10° ≤ 2θ ≤ 80°, low angle first:
two_theta  Rel. int.
28.71  32
35.01  47
35.36  40
35.72  35
40.28  39
40.64  100
40.79  46
41.05  92
41.12  42
41.47  58